For LiPu2Au7, a structure optimized by DFT (GGA-PBE) gives the simulated X-ray diffraction stick pattern in this record (Cu Ka).
Neutral-atom scattering factors, no anomalous dispersion.

Atomic structure:
```
data_LiPu2Au7
_symmetry_space_group_name_H-M 'F m -3 m'
_symmetry_Int_Tables_number 225
_symmetry_space_group_name_Hall '-F 4 2 3'
_cell_length_a 9.7530
_cell_length_b 9.7530
_cell_length_c 9.7530
_cell_angle_alpha 90.00
_cell_angle_beta 90.00
_cell_angle_gamma 90.00
loop_
_atom_site_label
_atom_site_fract_x
_atom_site_fract_y
_atom_site_fract_z
Li1 0.0000 0.0000 0.0000
Pu1 0.2500 0.2500 0.2500
Au1 0.0000 0.0000 0.2311
Au2 0.0000 0.0000 0.5000
```

Main lines, most intense first (2θ from 10° to 80°):
| 2θ (°) | I (rel.) | (hkl) |
| --- | --- | --- |
| 31.8 | 100 | 2 2 2 |
| 36.9 | 83 | 4 0 0 |
| 53.1 | 57 | 4 4 0 |
| 63.2 | 38 | 6 2 2 |
| 66.4 | 19 | 4 4 4 |
| 40.3 | 14 | 3 3 1 |
| 25.8 | 11 | 2 2 0 |
| 30.4 | 9 | 3 1 1 |
| 74.8 | 9 | 7 3 1 |
| 78.4 | 9 | 8 0 0 |

For BaCd3Bi2, a structure optimized by DFT (GGA-PBE) gives the simulated X-ray diffraction stick pattern in this record (Cu Ka).
Neutral-atom scattering factors, no anomalous dispersion.

Atomic structure:
```
data_BaCd3Bi2
_symmetry_space_group_name_H-M 'C 1 2/m 1'
_symmetry_Int_Tables_number 12
_symmetry_space_group_name_Hall '-C 2y'
_cell_length_a 18.2224
_cell_length_b 5.0244
_cell_length_c 9.9272
_cell_angle_alpha 90.00
_cell_angle_beta 121.11
_cell_angle_gamma 90.00
loop_
_atom_site_label
_atom_site_fract_x
_atom_site_fract_y
_atom_site_fract_z
Ba1 0.1446 0.0000 0.2049
Cd1 0.0796 0.0000 0.7514
Cd2 0.0840 0.5000 0.5190
Cd3 0.2202 0.5000 0.0208
Bi1 0.0225 0.5000 0.8541
Bi2 0.1907 0.0000 0.6052
```

Main lines, most intense first (2θ from 10° to 80°):
| 2θ (°) | I (rel.) | (hkl) |
| --- | --- | --- |
| 24.6 | 100 | 3 1 0 |
| 35.7 | 86 | 0 2 0 |
| 30.6 | 83 | 5 1 -1 |
| 30.3 | 76 | 1 1 2 |
| 32.4 | 76 | 3 1 -3 |
| 27.4 | 61 | 2 0 -3 |
| 39.0 | 60 | 7 1 -2 |
| 45.6 | 31 | 2 2 -3 |
| 39.5 | 31 | 1 1 3 |
| 39.8 | 26 | 5 1 1 |

For DyPuS2N, a structure optimized by DFT (GGA-PBE) gives the simulated X-ray diffraction stick pattern in this record (Cu Ka).
Neutral-atom scattering factors, no anomalous dispersion.

Atomic structure:
```
data_DyPuS2N
_symmetry_space_group_name_H-M 'P 4/n m m'
_symmetry_Int_Tables_number 129
_cell_length_a 3.8213
_cell_length_b 3.8213
_cell_length_c 13.7668
_cell_angle_alpha 90.00
_cell_angle_beta 90.00
_cell_angle_gamma 90.00
loop_
_symmetry_equiv_pos_as_xyz
'x,y,z'
'-x,-y,-z'
'-y+1/2,x,z'
'y+1/2,-x,-z'
'-x+1/2,-y+1/2,z'
'x+1/2,y+1/2,-z'
'y,-x+1/2,z'
'-y,x+1/2,-z'
'x+1/2,-y,-z'
'-x+1/2,y,z'
'-y,-x,-z'
'y,x,z'
'-x,y+1/2,-z'
'x,-y+1/2,z'
'y+1/2,x+1/2,-z'
'-y+1/2,-x+1/2,z'
loop_
_atom_site_label
_atom_site_fract_x
_atom_site_fract_y
_atom_site_fract_z
Dy1 0.2500 0.2500 0.1227
Pu1 0.2500 0.2500 0.5845
S1 0.2500 0.2500 0.3096
S2 0.2500 0.2500 0.9082
N1 0.2500 0.7500 0.5000
```

Main lines, most intense first (2θ from 10° to 80°):
| 2θ (°) | I (rel.) | (hkl) |
| --- | --- | --- |
| 26.7 | 100 | 1 0 2 |
| 33.2 | 60 | 1 1 0 |
| 42.5 | 30 | 1 1 4 |
| 55.4 | 29 | 2 1 2 |
| 47.6 | 24 | 2 0 0 |
| 35.1 | 24 | 1 0 4 |
| 25.9 | 24 | 0 0 4 |
| 12.9 | 21 | 0 0 2 |
| 30.4 | 20 | 1 0 3 |
| 40.4 | 19 | 1 0 5 |

For Ce7GePb3, a structure optimized by DFT (GGA-PBE) gives the simulated X-ray diffraction stick pattern in this record (Cu Ka).
Neutral-atom scattering factors, no anomalous dispersion.

Atomic structure:
```
data_Ce7GePb3
_symmetry_space_group_name_H-M 'I m m m'
_symmetry_Int_Tables_number 71
_symmetry_space_group_name_Hall '-I 2 2'
_cell_length_a 6.0283
_cell_length_b 9.1809
_cell_length_c 12.0076
_cell_angle_alpha 90.00
_cell_angle_beta 90.00
_cell_angle_gamma 90.00
loop_
_atom_site_label
_atom_site_fract_x
_atom_site_fract_y
_atom_site_fract_z
Ce1 0.0000 0.0000 0.0000
Ce2 0.0000 0.1651 0.5000
Ce3 0.0000 0.3555 0.2531
Ge1 0.0000 0.5000 0.5000
Pb1 0.0000 0.0000 0.2615
Pb2 0.0000 0.5000 0.0000
```

Main lines, most intense first (2θ from 10° to 80°):
| 2θ (°) | I (rel.) | (hkl) |
| --- | --- | --- |
| 36.2 | 100 | 1 3 2 |
| 29.6 | 66 | 2 0 0 |
| 29.8 | 64 | 0 0 4 |
| 42.5 | 49 | 2 0 4 |
| 56.9 | 27 | 3 3 2 |
| 57.1 | 26 | 1 3 6 |
| 19.3 | 20 | 0 2 0 |
| 25.5 | 20 | 1 2 1 |
| 33.2 | 19 | 1 2 3 |
| 68.8 | 19 | 2 6 0 |

For PmSmZr, a structure optimized by DFT (GGA-PBE) gives the simulated X-ray diffraction stick pattern in this record (Cu Ka).
Neutral-atom scattering factors, no anomalous dispersion.

Atomic structure:
```
data_PmSmZr
_symmetry_space_group_name_H-M 'C 1 m 1'
_symmetry_Int_Tables_number 8
_symmetry_space_group_name_Hall 'C -2y'
_cell_length_a 11.1606
_cell_length_b 3.3584
_cell_length_c 10.9501
_cell_angle_alpha 90.00
_cell_angle_beta 118.17
_cell_angle_gamma 90.00
loop_
_atom_site_label
_atom_site_fract_x
_atom_site_fract_y
_atom_site_fract_z
Pm1 0.0000 0.0000 0.0000
Pm2 0.1801 0.0000 0.8152
Sm1 0.1622 0.0000 0.3703
Sm2 0.3237 0.5000 0.1964
Zr1 0.0004 0.5000 0.5178
Zr2 0.3412 0.5000 0.6516
```

Main lines, most intense first (2θ from 10° to 80°):
| 2θ (°) | I (rel.) | (hkl) |
| --- | --- | --- |
| 31.5 | 100 | 2 0 2 |
| 32.1 | 79 | 4 0 -2 |
| 36.6 | 71 | 1 1 -3 |
| 31.2 | 71 | 1 1 -2 |
| 32.7 | 61 | 2 0 -4 |
| 36.2 | 57 | 3 1 -1 |
| 28.1 | 46 | 1 1 0 |
| 38.4 | 45 | 3 1 0 |
| 24.9 | 38 | 2 0 -3 |
| 64.8 | 36 | 4 2 -2 |

For Sc2InPd8, a structure optimized by DFT (GGA-PBE) gives the simulated X-ray diffraction stick pattern in this record (Cu Ka).
Neutral-atom scattering factors, no anomalous dispersion.

Atomic structure:
```
data_Sc2InPd8
_symmetry_space_group_name_H-M 'C 1 2/m 1'
_symmetry_Int_Tables_number 12
_symmetry_space_group_name_Hall '-C 2y'
_cell_length_a 14.4051
_cell_length_b 4.0888
_cell_length_c 6.4488
_cell_angle_alpha 90.00
_cell_angle_beta 106.30
_cell_angle_gamma 90.00
loop_
_atom_site_label
_atom_site_fract_x
_atom_site_fract_y
_atom_site_fract_z
Sc1 0.2189 0.0000 0.1652
In1 0.0000 0.5000 0.5000
Pd1 0.0405 0.0000 0.2254
Pd2 0.0957 0.5000 0.9584
Pd3 0.1470 0.0000 0.7005
Pd4 0.1770 0.5000 0.4113
```

Main lines, most intense first (2θ from 10° to 80°):
| 2θ (°) | I (rel.) | (hkl) |
| --- | --- | --- |
| 38.5 | 100 | 1 1 2 |
| 38.6 | 98 | 5 1 -1 |
| 44.3 | 66 | 0 2 0 |
| 77.7 | 35 | 1 3 2 |
| 45.7 | 29 | 6 0 1 |
| 64.5 | 21 | 4 2 -3 |
| 65.5 | 19 | 6 2 1 |
| 77.9 | 11 | 9 1 -4 |
| 79.6 | 10 | 7 1 3 |
| 79.8 | 9 | 11 1 0 |